1.
Diffraction record for Zn10Fe3. The powder diffractogram is simulated, not measured: it uses a structure optimized by DFT (PBE) and Cu Kα, 1.54184 Å.
Intensities are scaled so that the largest is 100.

Top 8 peaks for 10° ≤ 2θ ≤ 90°, in order of rising 2θ:
| two_theta | d_spacing | I (rel.) |
| --- | --- | --- |
| 34.50 | 2.600 | 10 |
| 37.36 | 2.407 | 8 |
| 42.57 | 2.124 | 100 |
| 42.65 | 2.120 | 33 |
| 47.35 | 1.920 | 13 |
| 72.75 | 1.300 | 8 |
| 77.85 | 1.227 | 7 |
| 78.00 | 1.225 | 12 |

```
26
Lattice="0.000 6.367 4.511 6.358 0.000 4.511 6.358 6.367 0.000" Properties=species:S:1:pos:R:3 pbc="T T T"
Zn 0.000 0.000 0.000
Zn 8.871 6.367 1.792
Zn 4.087 2.247 1.333
Zn 7.972 4.120 3.079
Zn 4.111 1.625 4.058
Zn 6.358 6.367 2.602
Zn 4.744 4.120 3.079
Zn 2.271 4.120 1.333
Zn 6.358 2.478 5.404
Zn 7.972 8.615 3.079
Zn 3.845 6.367 1.792
Zn 6.358 5.063 4.906
Zn 4.744 8.615 3.079
Zn 2.247 4.742 4.058
Zn 6.358 7.671 4.906
Zn 8.629 8.615 5.843
Zn 10.445 10.487 5.843
Zn 8.604 7.993 8.568
Zn 6.358 10.257 5.404
Zn 10.469 11.110 8.568
Fe 8.531 6.367 4.344
Fe 7.648 6.367 6.762
Fe 4.184 6.367 4.344
Fe 6.358 4.301 7.356
Fe 5.068 6.367 6.762
Fe 6.358 8.434 7.356
```

=====

2.
Diffraction record for Zr6Fe23. The powder diffractogram is simulated, not measured: it uses a structure optimized by DFT (PBE) and Cu Kα, 1.54184 Å.
Intensities are scaled so that the largest is 100.

Top 8 peaks for 10° ≤ 2θ ≤ 90°, in order of rising 2θ:
| two_theta | d_spacing | I (rel.) |
| --- | --- | --- |
| 37.68 | 2.388 | 23 |
| 40.06 | 2.251 | 69 |
| 43.78 | 2.068 | 100 |
| 45.90 | 1.977 | 16 |
| 46.59 | 1.949 | 14 |
| 68.01 | 1.378 | 16 |
| 80.45 | 1.194 | 13 |
| 81.96 | 1.176 | 15 |

```
29
Lattice="0.000 5.848 5.848 5.848 0.000 5.848 5.848 5.848 0.000" Properties=species:S:1:pos:R:3 pbc="T T T"
Zr 5.848 5.848 2.408
Zr 5.848 2.408 5.848
Zr 9.288 5.848 5.848
Zr 2.408 5.848 5.848
Zr 5.848 9.288 5.848
Zr 5.848 5.848 9.288
Fe 2.924 2.924 0.000
Fe 2.924 0.000 2.924
Fe 5.848 2.924 2.924
Fe 7.271 4.425 4.425
Fe 2.018 2.018 2.018
Fe 3.830 3.830 2.018
Fe 3.830 2.018 3.830
Fe 4.425 4.425 4.425
Fe 7.271 7.271 4.425
Fe 7.271 4.425 7.271
Fe 2.018 3.830 3.830
Fe 0.000 2.924 2.924
Fe 2.924 5.848 2.924
Fe 2.924 2.924 5.848
Fe 5.848 5.848 5.848
Fe 9.678 7.867 7.867
Fe 4.425 7.271 4.425
Fe 4.425 4.425 7.271
Fe 7.271 7.271 7.271
Fe 7.867 9.678 7.867
Fe 7.867 7.867 9.678
Fe 9.678 9.678 9.678
Fe 4.425 7.271 7.271
```

=====

3.
Diffraction record for Zr3Fe. The powder diffractogram is simulated, not measured: it uses a structure optimized by DFT (PBE) and Cu Kα, 1.54184 Å.
Intensities are scaled so that the largest is 100.

Top 8 peaks for 10° ≤ 2θ ≤ 90°, in order of rising 2θ:
| two_theta | d_spacing | I (rel.) |
| --- | --- | --- |
| 33.89 | 2.645 | 79 |
| 34.28 | 2.616 | 26 |
| 34.99 | 2.565 | 89 |
| 37.11 | 2.423 | 30 |
| 38.47 | 2.340 | 100 |
| 41.67 | 2.168 | 35 |
| 42.30 | 2.137 | 22 |
| 64.15 | 1.452 | 26 |

```
8
Lattice="1.622 -5.463 0.000 1.622 5.463 0.000 0.000 0.000 9.068" Properties=species:S:1:pos:R:3 pbc="T T T"
Zr 1.622 4.663 6.801
Zr 1.622 1.496 5.068
Zr 1.622 1.496 8.534
Zr 1.622 -1.496 0.534
Zr 1.622 -1.496 4.000
Zr 1.622 -4.663 2.267
Fe 1.622 2.902 2.267
Fe 1.622 -2.902 6.801
```

=====

4.
Diffraction record for Zr4Fe. The powder diffractogram is simulated, not measured: it uses a structure optimized by DFT (PBE) and Cu Kα, 1.54184 Å.
Intensities are scaled so that the largest is 100.

Top 8 peaks for 10° ≤ 2θ ≤ 90°, in order of rising 2θ:
| two_theta | d_spacing | I (rel.) |
| --- | --- | --- |
| 25.89 | 3.442 | 10 |
| 31.84 | 2.810 | 100 |
| 36.93 | 2.434 | 33 |
| 40.38 | 2.233 | 17 |
| 48.59 | 1.874 | 18 |
| 53.22 | 1.721 | 40 |
| 63.37 | 1.468 | 30 |
| 87.31 | 1.117 | 10 |

```
10
Lattice="0.000 4.868 4.868 4.868 0.000 4.868 4.868 4.868 0.000" Properties=species:S:1:pos:R:3 pbc="T T T"
Zr 7.436 4.733 4.733
Zr 2.299 2.299 2.299
Zr 5.002 5.002 2.299
Zr 5.002 2.299 5.002
Zr 4.733 7.436 4.733
Zr 4.733 4.733 7.436
Zr 7.436 7.436 7.436
Zr 2.299 5.002 5.002
Fe 3.651 3.651 3.651
Fe 6.085 6.085 6.085
```

=====

5.
Diffraction record for ZrFe2. The powder diffractogram is simulated, not measured: it uses a structure optimized by DFT (PBE) and Cu Kα, 1.54184 Å.
Intensities are scaled so that the largest is 100.

Top 8 peaks for 10° ≤ 2θ ≤ 90°, in order of rising 2θ:
| two_theta | d_spacing | I (rel.) |
| --- | --- | --- |
| 35.94 | 2.499 | 45 |
| 39.23 | 2.297 | 61 |
| 42.47 | 2.129 | 100 |
| 43.27 | 2.091 | 52 |
| 66.82 | 1.400 | 26 |
| 69.09 | 1.359 | 22 |
| 72.75 | 1.300 | 20 |
| 76.21 | 1.249 | 23 |

```
24
Lattice="4.997 0.000 0.000 -2.499 4.328 0.000 0.000 0.000 16.259" Properties=species:S:1:pos:R:3 pbc="T T T"
Zr 0.000 0.000 1.532
Zr 0.000 0.000 6.598
Zr 0.000 0.000 9.661
Zr 0.000 0.000 14.727
Zr 0.000 2.885 2.539
Zr 0.000 2.885 5.590
Zr 2.499 1.443 10.669
Zr 2.499 1.443 13.719
Fe -1.249 2.164 0.000
Fe -1.249 2.164 8.129
Fe 0.000 1.424 12.194
Fe -1.266 3.616 12.194
Fe 1.233 0.712 4.065
Fe 0.000 2.885 10.164
Fe 0.000 2.885 14.224
Fe 2.499 0.000 0.000
Fe 2.499 0.000 8.129
Fe 1.249 2.164 0.000
Fe 1.249 2.164 8.129
Fe 2.499 1.443 2.034
Fe 2.499 1.443 6.095
Fe 1.266 3.616 12.194
Fe 3.764 0.712 4.065
Fe 2.499 2.904 4.065
```

=====

6.
Diffraction record for ZrFe2. The powder diffractogram is simulated, not measured: it uses a structure optimized by DFT (PBE) and Cu Kα, 1.54184 Å.
Intensities are scaled so that the largest is 100.

Top 8 peaks for 10° ≤ 2θ ≤ 90°, in order of rising 2θ:
| two_theta | d_spacing | I (rel.) |
| --- | --- | --- |
| 21.84 | 4.070 | 1 |
| 36.03 | 2.493 | 45 |
| 42.53 | 2.126 | 100 |
| 44.52 | 2.035 | 26 |
| 64.78 | 1.439 | 15 |
| 69.25 | 1.357 | 29 |
| 76.43 | 1.246 | 23 |
| 87.51 | 1.115 | 7 |

```
6
Lattice="0.000 3.525 3.525 3.525 0.000 3.525 3.525 3.525 0.000" Properties=species:S:1:pos:R:3 pbc="T T T"
Zr 0.881 0.881 0.881
Zr 6.169 6.169 6.169
Fe 3.525 1.762 1.762
Fe 1.762 3.525 1.762
Fe 1.762 1.762 3.525
Fe 3.525 3.525 3.525
```

=====

7.
Diffraction record for Gd3Ga. The powder diffractogram is simulated, not measured: it uses a structure optimized by DFT (PBE) and Cu Kα, 1.54184 Å.
Intensities are scaled so that the largest is 100.

Top 8 peaks for 10° ≤ 2θ ≤ 90°, in order of rising 2θ:
| two_theta | d_spacing | I (rel.) |
| --- | --- | --- |
| 18.63 | 4.764 | 7 |
| 26.46 | 3.369 | 6 |
| 32.55 | 2.750 | 100 |
| 37.77 | 2.382 | 50 |
| 54.48 | 1.684 | 35 |
| 64.92 | 1.436 | 41 |
| 68.19 | 1.375 | 12 |
| 89.72 | 1.093 | 18 |

```
4
Lattice="4.764 0.000 0.000 0.000 4.764 0.000 0.000 0.000 4.764" Properties=species:S:1:pos:R:3 pbc="T T T"
Gd 0.000 0.000 2.382
Gd 0.000 2.382 0.000
Gd 2.382 0.000 0.000
Ga 2.382 2.382 2.382
```

=====

8.
Diffraction record for Gd3Ga2. The powder diffractogram is simulated, not measured: it uses a structure optimized by DFT (PBE) and Cu Kα, 1.54184 Å.
Intensities are scaled so that the largest is 100.

Top 8 peaks for 10° ≤ 2θ ≤ 90°, in order of rising 2θ:
| two_theta | d_spacing | I (rel.) |
| --- | --- | --- |
| 26.11 | 3.412 | 17 |
| 30.91 | 2.893 | 66 |
| 32.83 | 2.728 | 16 |
| 33.07 | 2.709 | 100 |
| 36.84 | 2.440 | 47 |
| 41.29 | 2.187 | 24 |
| 54.66 | 1.679 | 18 |
| 56.51 | 1.628 | 27 |

```
10
Lattice="7.716 0.000 0.000 0.000 7.716 0.000 0.000 0.000 4.374" Properties=species:S:1:pos:R:3 pbc="T T T"
Gd 0.000 0.000 0.000
Gd 1.337 2.521 2.187
Gd 2.521 6.378 2.187
Gd 3.858 3.858 0.000
Gd 5.195 1.337 2.187
Gd 6.378 5.195 2.187
Ga 0.919 4.777 0.000
Ga 2.939 0.919 0.000
Ga 4.777 6.797 0.000
Ga 6.797 2.939 0.000
```